No. 1
Simulated X-ray powder pattern of LiMnPO4 for Cu Kα X-rays, from a cell relaxed with GGA+U.
Intensities are scaled so that the largest is 100.

Peak list (10 most intense, 10° ≤ 2θ ≤ 90°, in order of rising 2θ)
d [Å]	I/Imax	hkl
5.206	100	0 1 1
4.813	26	0 0 2
3.793	32	1 1 0
3.607	53	1 1 -2
2.849	53	0 1 3
2.666	42	1 2 -1
2.625	37	2 0 -2
2.595	26	1 1 2
2.380	35	1 2 1
1.746	19	1 2 -5

Crystal structure
```
LiMnPO4
1.0
5.2721 0.0000 0.0000
0.0000 6.1887 0.0000
-4.3736 0.0000 9.6273
Li Mn P O
4 4 4 16
direct
0.0881 0.1394 0.4250
0.0881 0.3606 0.9250
0.9119 0.6394 0.0750
0.9119 0.8606 0.5750
0.4501 0.6112 0.6636
0.4501 0.8888 0.1636
0.5499 0.1112 0.8364
0.5499 0.3888 0.3364
0.1045 0.6500 0.3644
0.1045 0.8500 0.8644
0.8955 0.1500 0.1356
0.8955 0.3500 0.6356
0.1873 0.6653 0.9737
0.1873 0.8347 0.4737
0.2163 0.1440 0.2242
0.2163 0.3560 0.7242
0.2170 0.0627 0.9471
0.2170 0.4373 0.4471
0.2484 0.6666 0.2611
0.2484 0.8334 0.7611
0.7516 0.1666 0.2389
0.7516 0.3334 0.7389
0.7830 0.5627 0.5529
0.7830 0.9373 0.0529
0.7837 0.6440 0.2758
0.7837 0.8560 0.7758
0.8127 0.1653 0.5263
0.8127 0.3347 0.0263
```

No. 2
Simulated X-ray powder pattern of Li2Mn3P4O14 for Cu Kα X-rays, from a cell relaxed with GGA+U.
Intensities are scaled so that the largest is 100.

Peak list (10 most intense, 10° ≤ 2θ ≤ 90°, in order of rising 2θ)
d [Å]	I/Imax	hkl
5.226	28	0 1 2
4.130	29	1 0 -2
3.846	23	1 1 3
3.530	41	1 0 -3
3.280	47	1 0 4
3.145	21	0 2 1
3.079	90	1 2 2
3.018	60	1 0 -4
2.912	34	-1 1 3
2.817	100	1 0 5

Crystal structure
```
Li2Mn3P4O14
1.0
5.3607 0.0000 0.0000
2.0686 6.3128 0.0000
2.0233 1.7858 15.9973
Li Mn P O
4 6 8 28
direct
0.0740 0.2167 0.4955
0.3551 0.6907 0.6166
0.6449 0.3093 0.3834
0.9260 0.7833 0.5045
0.0360 0.6186 0.3132
0.1627 0.2912 0.0759
0.2554 0.9709 0.8318
0.7446 0.0291 0.1682
0.8373 0.7088 0.9241
0.9640 0.3814 0.6868
0.1672 0.0923 0.2906
0.2820 0.7828 0.0389
0.3707 0.4430 0.8179
0.4363 0.7568 0.4267
0.5637 0.2432 0.5733
0.6293 0.5570 0.1821
0.7180 0.2172 0.9611
0.8328 0.9077 0.7094
0.0213 0.2860 0.3397
0.0224 0.0354 0.7173
0.1083 0.9768 0.0813
0.1346 0.6208 0.0349
0.1829 0.6596 0.8391
0.2195 0.3043 0.7903
0.2626 0.3218 0.5718
0.2833 0.8597 0.5048
0.3222 0.5844 0.4078
0.3266 0.1397 0.2095
0.3948 0.9463 0.3498
0.4007 0.5312 0.2423
0.4221 0.8413 0.9541
0.4678 0.3227 0.9070
0.5322 0.6773 0.0930
0.5779 0.1587 0.0459
0.5993 0.4688 0.7577
0.6052 0.0537 0.6502
0.6734 0.8603 0.7905
0.6778 0.4156 0.5922
0.7167 0.1403 0.4952
0.7374 0.6782 0.4282
0.7805 0.6957 0.2097
0.8171 0.3404 0.1609
0.8654 0.3792 0.9651
0.8917 0.0232 0.9187
0.9776 0.9646 0.2827
0.9787 0.7140 0.6603
```

No. 3
Simulated X-ray powder pattern of LiMnPO4 for Cu Kα X-rays, from a cell relaxed with GGA+U.
Intensities are scaled so that the largest is 100.

Peak list (10 most intense, 10° ≤ 2θ ≤ 90°, in order of rising 2θ)
d [Å]	I/Imax	hkl
4.417	100	1 1 0
4.098	92	0 0 2
3.889	78	1 1 1
3.004	49	1 1 2
2.892	34	2 1 0
2.550	39	3 0 0
2.435	25	3 0 1
2.324	61	1 1 3
2.165	31	3 0 2
1.537	25	1 1 5

Crystal structure
```
LiMnPO4
1.0
8.8349 0.0000 0.0000
-4.4174 7.6512 0.0000
0.0000 0.0000 8.1965
Li Mn P O
6 6 6 24
direct
0.0000 0.0000 0.0000
0.0000 0.0000 0.5000
0.3333 0.6667 0.0662
0.3333 0.6667 0.5818
0.6667 0.3333 0.0818
0.6667 0.3333 0.5662
0.0275 0.6863 0.2959
0.3137 0.3412 0.2959
0.3412 0.0275 0.7959
0.6588 0.9725 0.2959
0.6863 0.6588 0.7959
0.9725 0.3137 0.7959
0.0402 0.6850 0.9078
0.3150 0.3552 0.9078
0.3552 0.0402 0.4078
0.6448 0.9598 0.9078
0.6850 0.6448 0.4078
0.9598 0.3150 0.4078
0.0694 0.2205 0.4090
0.0914 0.5138 0.3983
0.1479 0.7295 0.0694
0.1511 0.9306 0.4090
0.1746 0.7545 0.7658
0.2205 0.1511 0.9090
0.2455 0.4201 0.7658
0.2705 0.4184 0.0694
0.4184 0.1479 0.5694
0.4201 0.1746 0.2658
0.4225 0.9086 0.3983
0.4862 0.5775 0.3983
0.5138 0.4225 0.8983
0.5775 0.0914 0.8983
0.5799 0.8254 0.7658
0.5816 0.8521 0.0694
0.7295 0.5816 0.5694
0.7545 0.5799 0.2658
0.7795 0.8489 0.4090
0.8254 0.2455 0.2658
0.8489 0.0694 0.9090
0.8521 0.2705 0.5694
0.9086 0.4862 0.8983
0.9306 0.7795 0.9090
```